# 1
Structure and theoretical powder diffraction line list of La4In3Au (DFT lattice parameters and positions (PBE); copper Kα).

Top 10 peaks for 10 to 80 degrees two-theta, in order of falling intensity:
Position (°2θ), d/Å, intensity
31.86, 2.809, 100
33.70, 2.660, 45
59.12, 1.563, 34
55.56, 1.654, 18
48.41, 1.880, 17
66.58, 1.404, 10
42.82, 2.112, 10
79.80, 1.202, 7
71.55, 1.319, 7
70.87, 1.330, 7

Structural model:
Cell lengths 3.7611, 3.7611, 16.8961 Å; angles 90.00, 90.00, 90.00 degrees
Fractional coordinates of all 8 atoms:
La 0.0000 0.0000 0.1112
La 0.0000 0.0000 0.3705
La 0.0000 0.0000 0.6295
La 0.0000 0.0000 0.8888
In 0.5000 0.5000 0.2410
In 0.5000 0.5000 0.5000
In 0.5000 0.5000 0.7590
Au 0.5000 0.5000 0.0000

***

# 2
Structure and theoretical powder diffraction line list of LaIn12Au4 (DFT lattice parameters and positions (PBE); copper Kα).

Top 10 peaks for 10 to 80 degrees two-theta, in order of falling intensity:
Position (°2θ), d/Å, intensity
28.96, 3.083, 100
45.58, 1.990, 66
41.41, 2.180, 62
34.41, 2.606, 42
25.84, 3.447, 41
47.55, 1.912, 34
18.20, 4.875, 30
60.00, 1.542, 20
64.85, 1.438, 16
63.26, 1.470, 13

Structural model:
Cell lengths 8.4444, 8.4444, 8.4444 Å; angles 109.47, 109.47, 109.47 degrees
Fractional coordinates of all 17 atoms:
La 0.0000 0.0000 0.0000
In 0.1545 0.3453 0.4998
In 0.1545 0.6547 0.8093
In 0.1907 0.8455 0.3453
In 0.3453 0.1907 0.8455
In 0.3453 0.4998 0.1545
In 0.4998 0.1545 0.3453
In 0.5002 0.8455 0.6547
In 0.6547 0.5002 0.8455
In 0.6547 0.8093 0.1545
In 0.8093 0.1545 0.6547
In 0.8455 0.3453 0.1907
In 0.8455 0.6547 0.5002
Au 0.0000 0.0000 0.5000
Au 0.0000 0.5000 0.0000
Au 0.5000 0.0000 0.0000
Au 0.5000 0.5000 0.5000

***

# 3
Structure and theoretical powder diffraction line list of La2InRuAu (DFT lattice parameters and positions (PBE); copper Kα).

Top 10 peaks for 10 to 80 degrees two-theta, in order of falling intensity:
Position (°2θ), d/Å, intensity
31.18, 2.868, 100
34.47, 2.602, 83
36.41, 2.468, 76
32.06, 2.792, 64
39.11, 2.303, 56
43.37, 2.087, 53
35.86, 2.504, 46
29.18, 3.060, 34
32.41, 2.762, 34
28.68, 3.113, 31

Structural model:
Cell lengths 7.9881, 4.1730, 8.2874 Å; angles 90.00, 109.87, 90.00 degrees
Fractional coordinates of all 10 atoms:
La 0.0380 0.2500 0.2358
La 0.3534 0.7500 0.6188
La 0.6466 0.2500 0.3812
La 0.9620 0.7500 0.7642
In 0.3363 0.2500 0.9564
In 0.6637 0.7500 0.0436
Ru 0.1105 0.2500 0.6251
Ru 0.8895 0.7500 0.3749
Au 0.3268 0.7500 0.2087
Au 0.6732 0.2500 0.7913

***

# 4
Structure and theoretical powder diffraction line list of La2Zn3InAu4 (DFT lattice parameters and positions (PBE); copper Kα).

Top 10 peaks for 10 to 80 degrees two-theta, in order of falling intensity:
Position (°2θ), d/Å, intensity
33.00, 2.715, 100
41.70, 2.166, 52
42.70, 2.117, 30
43.92, 2.062, 27
30.82, 2.901, 26
70.61, 1.334, 22
62.16, 1.493, 19
60.44, 1.532, 17
25.57, 3.484, 14
30.15, 2.964, 13

Structural model:
Cell lengths 4.3321, 4.3321, 11.7210 Å; angles 90.00, 90.00, 90.00 degrees
Fractional coordinates of all 10 atoms:
La 0.0000 0.5000 0.2394
La 0.5000 0.0000 0.7606
Zn 0.0000 0.5000 0.8712
Zn 0.5000 0.0000 0.1288
Zn 0.5000 0.5000 0.5000
In 0.0000 0.0000 0.5000
Au 0.0000 0.0000 0.0000
Au 0.0000 0.5000 0.6525
Au 0.5000 0.0000 0.3475
Au 0.5000 0.5000 0.0000

***

# 5
Structure and theoretical powder diffraction line list of Li6In2Au (DFT lattice parameters and positions (PBE); copper Kα).

Top 10 peaks for 10 to 80 degrees two-theta, in order of falling intensity:
Position (°2θ), d/Å, intensity
22.29, 3.989, 100
39.05, 2.306, 84
70.82, 1.330, 24
51.13, 1.786, 20
56.44, 1.630, 18
45.48, 1.994, 15
31.61, 2.830, 13
61.51, 1.508, 12
70.62, 1.334, 8
16.54, 5.359, 8

Structural model:
Cell lengths 5.4061, 5.4061, 5.4061 Å; angles 95.10, 95.10, 95.10 degrees
Fractional coordinates of all 9 atoms:
Li 0.0000 0.3356 0.6644
Li 0.0000 0.6644 0.3356
Li 0.3356 0.0000 0.6644
Li 0.3356 0.6644 0.0000
Li 0.6644 0.0000 0.3356
Li 0.6644 0.3356 0.0000
In 0.1715 0.1715 0.1715
In 0.8285 0.8285 0.8285
Au 0.5000 0.5000 0.5000

***

# 6
Structure and theoretical powder diffraction line list of LiIn2Au7 (DFT lattice parameters and positions (PBE); copper Kα).

Top 10 peaks for 10 to 80 degrees two-theta, in order of falling intensity:
Position (°2θ), d/Å, intensity
39.65, 2.273, 100
45.02, 2.014, 71
40.22, 2.242, 48
28.34, 3.150, 47
26.20, 3.401, 37
74.13, 1.279, 32
35.95, 2.498, 30
25.82, 3.451, 29
48.63, 1.872, 27
19.80, 4.485, 20

Structural model:
Cell lengths 9.1648, 9.1648, 3.4011 Å; angles 90.00, 90.00, 131.15 degrees
Fractional coordinates of all 10 atoms:
Li 0.0000 0.0000 0.0000
In 0.3251 0.6749 0.5000
In 0.6749 0.3251 0.5000
Au 0.1015 0.2757 0.5000
Au 0.1965 0.8035 0.0000
Au 0.2757 0.1015 0.5000
Au 0.5000 0.5000 0.5000
Au 0.7243 0.8985 0.5000
Au 0.8035 0.1965 0.0000
Au 0.8985 0.7243 0.5000

***

# 7
Structure and theoretical powder diffraction line list of Li2InAu9 (DFT lattice parameters and positions (PBE); copper Kα).

Top 10 peaks for 10 to 80 degrees two-theta, in order of falling intensity:
Position (°2θ), d/Å, intensity
37.74, 2.384, 100
44.04, 2.056, 33
76.78, 1.241, 26
63.62, 1.463, 21
43.49, 2.081, 16
21.61, 4.113, 12
76.01, 1.252, 11
64.04, 1.454, 11
30.56, 2.925, 10
21.35, 4.162, 6

Structural model:
Cell lengths 4.1127, 4.1127, 12.4848 Å; angles 90.00, 90.00, 90.00 degrees
Fractional coordinates of all 12 atoms:
Li 0.0000 0.0000 0.1608
Li 0.0000 0.0000 0.8392
In 0.0000 0.0000 0.5000
Au 0.0000 0.5000 0.0000
Au 0.0000 0.5000 0.3219
Au 0.0000 0.5000 0.6781
Au 0.5000 0.0000 0.0000
Au 0.5000 0.0000 0.3219
Au 0.5000 0.0000 0.6781
Au 0.5000 0.5000 0.1605
Au 0.5000 0.5000 0.5000
Au 0.5000 0.5000 0.8395

***

# 8
Structure and theoretical powder diffraction line list of Li2InAu3 (DFT lattice parameters and positions (PBE); copper Kα).

Top 10 peaks for 10 to 80 degrees two-theta, in order of falling intensity:
Position (°2θ), d/Å, intensity
38.46, 2.341, 100
39.91, 2.259, 90
26.49, 3.365, 59
39.02, 2.308, 51
39.52, 2.281, 50
28.46, 3.136, 49
27.38, 3.257, 48
48.33, 1.883, 22
48.74, 1.868, 21
54.54, 1.683, 20

Structural model:
Cell lengths 4.5724, 6.5149, 7.1537 Å; angles 90.00, 104.55, 90.00 degrees
Fractional coordinates of all 12 atoms:
Li 0.0000 0.0000 0.0000
Li 0.0000 0.5000 0.0000
Li 0.3264 0.0000 0.6649
Li 0.6736 0.0000 0.3351
In 0.3315 0.5000 0.6773
In 0.6685 0.5000 0.3227
Au 0.1696 0.2252 0.3263
Au 0.1696 0.7748 0.3263
Au 0.5000 0.2272 0.0000
Au 0.5000 0.7728 0.0000
Au 0.8304 0.2252 0.6737
Au 0.8304 0.7748 0.6737